[1]
Simulated powder diffraction line list
Compound: Ac5Nd2SmDy
Radiation: Cu Kα (weighted mean of Kα1 and Kα2)
Structure: a cell relaxed with GGA-PBE
Peak positions follow from Bragg's law for the DFT cell and can differ from measured ones.

Most intense lines, 2θ from 5° to 70°, by angle:
- 2θ 26.86, intensity 23
- 2θ 27.24, intensity 100
- 2θ 29.82, intensity 39
- 2θ 34.58, intensity 9
- 2θ 34.79, intensity 18
- 2θ 42.67, intensity 8
- 2θ 46.46, intensity 18
- 2θ 51.36, intensity 27

Structural model:
a b c (Å): 8.476 8.476 20.627
angles (deg): 90.00 90.00 90.00
Space group I4/mcm (No. 140)
Asymmetric unit:
Ac (0.000, 0.000, 0.000) (multiplicity 4)
Ac (0.224, 0.276, 0.137) (multiplicity 16)
Nd (0.122, 0.378, 0.500) (multiplicity 8)
Sm (0.000, 0.000, 0.250) (multiplicity 4)
Dy (0.000, 0.500, 0.250) (multiplicity 4)

=====

[2]
Simulated powder diffraction line list
Compound: Ac3Zn8
Radiation: Cu Kα (weighted mean of Kα1 and Kα2)
Structure: a cell relaxed with GGA-PBE
Peak positions follow from Bragg's law for the DFT cell and can differ from measured ones.

Most intense lines, 2θ from 5° to 70°, by angle:
- 2θ 22.25, intensity 27
- 2θ 29.19, intensity 30
- 2θ 31.13, intensity 56
- 2θ 31.49, intensity 100
- 2θ 36.53, intensity 33
- 2θ 40.26, intensity 29
- 2θ 40.87, intensity 31
- 2θ 51.75, intensity 27

Structural model:
a b c (Å): 4.416 4.480 26.485
angles (deg): 90.00 90.00 90.00
Space group Immm (No. 71)
Asymmetric unit:
Ac (0.000, 0.000, 0.000) (multiplicity 2)
Ac (0.000, 0.500, 0.153) (multiplicity 4)
Zn (0.000, 0.000, 0.249) (multiplicity 4)
Zn (0.000, 0.000, 0.450) (multiplicity 4)
Zn (0.000, 0.500, 0.302) (multiplicity 4)
Zn (0.000, 0.500, 0.400) (multiplicity 4)